Structure and simulated XRD peak list of NaReBr5 (a DFT-relaxed cell (GGA-PBE, Alexandria); Cu Kα, 1.54184 Å).
Peak positions follow from Bragg's law for the DFT cell and can differ from measured ones.

The 10 most intense peaks (10 to 80 degrees two-theta), sorted by position:
- 13.29°, I 100.0
- 16.26°, I 30.1
- 19.74°, I 18.5
- 21.14°, I 46.5
- 26.32°, I 26.5
- 29.73°, I 21.5
- 31.65°, I 23.2
- 37.06°, I 22.0
- 40.36°, I 15.6
- 42.84°, I 14.0

Cell and atoms:
abc: 7.2308 7.2308 9.7059
angles: 107.76 107.76 71.17
Fractional positions:
Na1 0.0193 0.9807 0.5000
Na2 0.9807 0.0193 0.0000
Re1 0.4990 0.4992 0.2506
Re2 0.4992 0.4990 0.7506
Br1 0.1471 0.6857 0.7742
Br2 0.1846 0.3867 0.1198
Br3 0.3117 0.8515 0.2272
Br4 0.3862 0.6118 0.5006
Br5 0.3867 0.1846 0.6198
Br6 0.6118 0.3862 0.0006
Br7 0.6122 0.8130 0.8814
Br8 0.6857 0.1471 0.2742
Br9 0.8130 0.6122 0.3814
Br10 0.8515 0.3117 0.7272

---

Structure and simulated XRD peak list of La5Sm2TmTh (a DFT-relaxed cell (GGA-PBE, Alexandria); Cu Kα, 1.54184 Å).
Peak positions follow from Bragg's law for the DFT cell and can differ from measured ones.

The 10 most intense peaks (10 to 80 degrees two-theta), sorted by position:
- 11.60°, I 10.7
- 26.23°, I 13.1
- 30.18°, I 16.1
- 30.99°, I 100.0
- 32.31°, I 44.2
- 33.68°, I 18.8
- 47.34°, I 14.6
- 56.76°, I 19.6
- 58.56°, I 9.8
- 77.69°, I 7.7

Cell and atoms:
abc: 11.2789 11.2789 10.6448
angles: 90.00 90.00 151.53
Fractional positions:
La1 0.0000 0.0000 0.0000
La2 0.0000 0.0000 0.5000
La3 0.1301 0.8699 0.7500
La4 0.2237 0.7763 0.0584
La5 0.2237 0.7763 0.4416
La6 0.4981 0.5019 0.7500
La7 0.5019 0.4981 0.2500
La8 0.7763 0.2237 0.5584
La9 0.7763 0.2237 0.9416
La10 0.8699 0.1301 0.2500
Sm1 0.3882 0.6118 0.5012
Sm2 0.3882 0.6118 0.9988
Sm3 0.6118 0.3882 0.0012
Sm4 0.6118 0.3882 0.4988
Tm1 0.1029 0.8971 0.2500
Tm2 0.8971 0.1029 0.7500
Th1 0.2918 0.7082 0.7500
Th2 0.7082 0.2918 0.2500

---

Structure and simulated XRD peak list of ZrSc4Hg (a DFT-relaxed cell (GGA-PBE, Alexandria); Cu Kα, 1.54184 Å).
Peak positions follow from Bragg's law for the DFT cell and can differ from measured ones.

The 10 most intense peaks (10 to 80 degrees two-theta), sorted by position:
- 13.41°, I 47.3
- 28.20°, I 28.6
- 34.23°, I 100.0
- 39.08°, I 34.9
- 41.01°, I 14.4
- 41.50°, I 13.0
- 44.13°, I 13.3
- 56.47°, I 11.5
- 57.94°, I 20.1
- 67.72°, I 25.8

Cell and atoms:
abc: 3.2593 3.2593 13.2056
angles: 90.00 90.00 90.00
Fractional positions:
Zr1 0.0000 0.0000 0.0000
Sc1 0.0000 0.0000 0.3477
Sc2 0.0000 0.0000 0.6523
Sc3 0.5000 0.5000 0.1669
Sc4 0.5000 0.5000 0.8331
Hg1 0.5000 0.5000 0.5000

---

Structure and simulated XRD peak list of TiBS2 (a DFT-relaxed cell (GGA-PBE, Alexandria); Cu Kα, 1.54184 Å).
Peak positions follow from Bragg's law for the DFT cell and can differ from measured ones.

The 10 most intense peaks (10 to 80 degrees two-theta), sorted by position:
- 28.85°, I 14.9
- 32.41°, I 100.0
- 41.46°, I 24.2
- 43.84°, I 11.6
- 44.03°, I 11.4
- 44.31°, I 13.4
- 51.21°, I 18.6
- 51.38°, I 18.4
- 53.74°, I 11.5
- 59.77°, I 15.1

Cell and atoms:
abc: 3.0945 3.0945 6.1326
angles: 90.00 90.00 90.26
Fractional positions:
Ti1 0.0000 0.0000 0.0000
B1 0.5000 0.5000 0.5000
S1 0.0000 0.5000 0.3081
S2 0.5000 0.0000 0.6919

---

Structure and simulated XRD peak list of AcNd2Si6 (a DFT-relaxed cell (GGA-PBE, Alexandria); Cu Kα, 1.54184 Å).
Peak positions follow from Bragg's law for the DFT cell and can differ from measured ones.

The 10 most intense peaks (10 to 80 degrees two-theta), sorted by position:
- 20.73°, I 14.9
- 24.56°, I 49.7
- 32.35°, I 100.0
- 42.19°, I 10.5
- 43.23°, I 29.2
- 48.41°, I 10.9
- 49.42°, I 15.8
- 55.02°, I 22.2
- 62.00°, I 20.1
- 72.43°, I 19.7

Cell and atoms:
abc: 7.2490 7.2490 4.2842
angles: 90.00 90.00 120.00
Fractional positions:
Ac1 0.0000 0.0000 0.0000
Nd1 0.3333 0.6667 0.0000
Nd2 0.6667 0.3333 0.0000
Si1 0.0000 0.3380 0.5000
Si2 0.0000 0.6620 0.5000
Si3 0.3380 0.0000 0.5000
Si4 0.3380 0.3380 0.5000
Si5 0.6620 0.0000 0.5000
Si6 0.6620 0.6620 0.5000

---

Structure and simulated XRD peak list of Tb4Pm3Bi4 (a DFT-relaxed cell (GGA-PBE, Alexandria); Cu Kα, 1.54184 Å).
Peak positions follow from Bragg's law for the DFT cell and can differ from measured ones.

The 10 most intense peaks (10 to 80 degrees two-theta), sorted by position:
- 19.84°, I 19.2
- 27.80°, I 65.4
- 28.87°, I 19.3
- 30.97°, I 28.0
- 31.58°, I 27.1
- 31.90°, I 100.0
- 37.86°, I 29.6
- 41.23°, I 30.8
- 41.35°, I 23.5
- 55.68°, I 21.8

Cell and atoms:
abc: 11.5506 7.4067 7.4067
angles: 34.39 90.00 90.00
Fractional positions:
Tb1 0.0000 0.0000 0.0000
Tb2 0.2430 0.4713 0.4713
Tb3 0.5000 0.0708 0.0708
Tb4 0.7570 0.4713 0.4713
Pm1 0.0000 0.6977 0.6977
Pm2 0.3521 0.7720 0.7720
Pm3 0.6479 0.7720 0.7720
Bi1 0.0000 0.3535 0.3535
Bi2 0.2191 0.1379 0.1379
Bi3 0.5000 0.3984 0.3984
Bi4 0.7809 0.1379 0.1379

---

Structure and simulated XRD peak list of NbTlCu3 (a DFT-relaxed cell (GGA-PBE, Alexandria); Cu Kα, 1.54184 Å).
Peak positions follow from Bragg's law for the DFT cell and can differ from measured ones.

The 10 most intense peaks (10 to 80 degrees two-theta), sorted by position:
- 25.70°, I 100.0
- 31.61°, I 75.5
- 36.66°, I 99.0
- 45.31°, I 44.3
- 52.82°, I 67.9
- 59.64°, I 20.0
- 62.88°, I 30.4
- 66.02°, I 22.6
- 72.09°, I 23.2
- 77.96°, I 10.4

Cell and atoms:
abc: 4.9022 4.9022 4.9022
angles: 90.00 90.00 90.00
Fractional positions:
Nb1 0.0000 0.0000 0.0000
Tl1 0.5000 0.5000 0.5000
Cu1 0.0000 0.0000 0.5000
Cu2 0.0000 0.5000 0.0000
Cu3 0.5000 0.0000 0.0000